No. 1
Diffraction record for Zr2MnS5. The XRD peak list is computed, not measured: it uses a GGA-PBE-relaxed structure and Cu Kα X-rays.
Kinematic intensities with the Lorentz-polarization factor, no thermal factor.

Atomic structure:
```
data_Zr2MnS5
_chemical_formula_sum 'Zr8 Mn4 S20'
_cell_length_a 8.3351
_cell_length_b 6.3197
_cell_length_c 12.6210
_cell_angle_alpha 90.00
_cell_angle_beta 104.57
_cell_angle_gamma 90.00
_symmetry_space_group_name_H-M 'P 1'
_symmetry_Int_Tables_number 1
_symmetry_space_group_name_Hall 'P 1'
loop_
_atom_site_label
_atom_site_type_symbol
_atom_site_fract_x
_atom_site_fract_y
_atom_site_fract_z
Zr1 Zr 0.1433 0.1053 0.3066
Zr2 Zr 0.1433 0.3947 0.8066
Zr3 Zr 0.3388 0.0109 0.6155
Zr4 Zr 0.3388 0.4891 0.1155
Zr5 Zr 0.6612 0.5109 0.8845
Zr6 Zr 0.6612 0.9891 0.3845
Zr7 Zr 0.8567 0.6053 0.1934
Zr8 Zr 0.8567 0.8947 0.6934
Mn1 Mn 0.0000 0.0000 0.0000
Mn2 Mn 0.0000 0.5000 0.5000
Mn3 Mn 0.5000 0.0000 0.0000
Mn4 Mn 0.5000 0.5000 0.5000
S1 S 0.0442 0.1748 0.6321
S2 S 0.0442 0.3252 0.1321
S3 S 0.1420 0.7088 0.6648
S4 S 0.1420 0.7912 0.1648
S5 S 0.2461 0.1708 0.9818
S6 S 0.2461 0.3292 0.4818
S7 S 0.3688 0.6602 0.9299
S8 S 0.3688 0.8398 0.4299
S9 S 0.4338 0.2348 0.7880
S10 S 0.4338 0.2652 0.2880
S11 S 0.5662 0.7348 0.7120
S12 S 0.5662 0.7652 0.2120
S13 S 0.6312 0.1602 0.5701
S14 S 0.6312 0.3398 0.0701
S15 S 0.7539 0.6708 0.5182
S16 S 0.7539 0.8292 0.0182
S17 S 0.8580 0.2088 0.8352
S18 S 0.8580 0.2912 0.3352
S19 S 0.9558 0.6748 0.8679
S20 S 0.9558 0.8252 0.3679
```

The 10 most intense peaks (2θ from 15° to 90°), by angle:
Position (°2θ)  I/Imax
25.66  94
26.03  100
30.45  24
32.56  23
35.86  38
35.98  33
41.26  44
43.58  22
48.81  34
49.78  22



No. 2
Diffraction record for Hf2TlMo2. The XRD peak list is computed, not measured: it uses a GGA-PBE-relaxed structure and Cu Kα X-rays.
Kinematic intensities with the Lorentz-polarization factor, no thermal factor.

Atomic structure:
```
data_Hf2TlMo2
_chemical_formula_sum 'Hf4 Tl2 Mo4'
_cell_length_a 7.7095
_cell_length_b 7.7095
_cell_length_c 3.4283
_cell_angle_alpha 90.00
_cell_angle_beta 90.00
_cell_angle_gamma 90.00
_symmetry_space_group_name_H-M 'P 1'
_symmetry_Int_Tables_number 1
_symmetry_space_group_name_Hall 'P 1'
loop_
_atom_site_label
_atom_site_type_symbol
_atom_site_fract_x
_atom_site_fract_y
_atom_site_fract_z
Hf1 Hf 0.1884 0.3116 0.0000
Hf2 Hf 0.3116 0.8116 0.0000
Hf3 Hf 0.6884 0.1884 0.0000
Hf4 Hf 0.8116 0.6884 0.0000
Tl1 Tl 0.0000 0.0000 0.5000
Tl2 Tl 0.5000 0.5000 0.5000
Mo1 Mo 0.1054 0.6054 0.5000
Mo2 Mo 0.3946 0.1054 0.5000
Mo3 Mo 0.6054 0.8946 0.5000
Mo4 Mo 0.8946 0.3946 0.5000
```

The 10 most intense peaks (2θ from 15° to 90°), by angle:
Position (°2θ)  I/Imax
32.86  36
35.03  100
36.87  52
36.98  82
42.27  18
48.70  23
53.45  17
57.39  21
66.70  18
67.73  27



No. 3
Diffraction record for SrLiB2Rh. The XRD peak list is computed, not measured: it uses a GGA-PBE-relaxed structure and Cu Kα X-rays.
Kinematic intensities with the Lorentz-polarization factor, no thermal factor.

Atomic structure:
```
data_SrLiB2Rh
_chemical_formula_sum 'Sr1 Li1 B2 Rh1'
_cell_length_a 4.2014
_cell_length_b 4.2014
_cell_length_c 5.4862
_cell_angle_alpha 90.00
_cell_angle_beta 90.00
_cell_angle_gamma 90.00
_symmetry_space_group_name_H-M 'P 1'
_symmetry_Int_Tables_number 1
_symmetry_space_group_name_Hall 'P 1'
loop_
_atom_site_label
_atom_site_type_symbol
_atom_site_fract_x
_atom_site_fract_y
_atom_site_fract_z
Sr1 Sr 0.0000 0.0000 0.0000
Li1 Li 0.5000 0.5000 0.0000
B1 B 0.0000 0.5000 0.5000
B2 B 0.5000 0.0000 0.5000
Rh1 Rh 0.0000 0.0000 0.5000
```

The 10 most intense peaks (2θ from 15° to 90°), by angle:
Position (°2θ)  I/Imax
21.15  100
30.08  38
32.64  22
39.22  40
43.06  20
44.98  26
48.45  22
55.06  19
59.65  23
80.29  9



No. 4
Diffraction record for Ge7Rh3. The XRD peak list is computed, not measured: it uses a GGA-PBE-relaxed structure and Cu Kα X-rays.
Kinematic intensities with the Lorentz-polarization factor, no thermal factor.

Atomic structure:
```
data_Ge7Rh3
_chemical_formula_sum 'Ge14 Rh6'
_cell_length_a 7.5912
_cell_length_b 7.5912
_cell_length_c 7.5912
_cell_angle_alpha 109.47
_cell_angle_beta 109.47
_cell_angle_gamma 109.47
_symmetry_space_group_name_H-M 'P 1'
_symmetry_Int_Tables_number 1
_symmetry_space_group_name_Hall 'P 1'
loop_
_atom_site_label
_atom_site_type_symbol
_atom_site_fract_x
_atom_site_fract_y
_atom_site_fract_z
Ge1 Ge 0.0000 0.0000 0.3335
Ge2 Ge 0.0000 0.0000 0.6665
Ge3 Ge 0.0000 0.3335 0.0000
Ge4 Ge 0.0000 0.6665 0.0000
Ge5 Ge 0.2500 0.5000 0.7500
Ge6 Ge 0.2500 0.7500 0.5000
Ge7 Ge 0.3335 0.0000 0.0000
Ge8 Ge 0.3335 0.3335 0.3335
Ge9 Ge 0.5000 0.2500 0.7500
Ge10 Ge 0.5000 0.7500 0.2500
Ge11 Ge 0.6665 0.0000 0.0000
Ge12 Ge 0.6665 0.6665 0.6665
Ge13 Ge 0.7500 0.2500 0.5000
Ge14 Ge 0.7500 0.5000 0.2500
Rh1 Rh 0.0000 0.3409 0.3409
Rh2 Rh 0.0000 0.6591 0.6591
Rh3 Rh 0.3409 0.0000 0.3409
Rh4 Rh 0.3409 0.3409 0.0000
Rh5 Rh 0.6591 0.0000 0.6591
Rh6 Rh 0.6591 0.6591 0.0000
```

The 10 most intense peaks (2θ from 15° to 90°), by angle:
Position (°2θ)  I/Imax
24.88  29
35.48  41
38.42  30
43.82  100
46.32  7
51.04  20
63.70  19
65.66  11
69.50  15
80.52  36



No. 5
Diffraction record for AcInGa. The XRD peak list is computed, not measured: it uses a GGA-PBE-relaxed structure and Cu Kα X-rays.
Kinematic intensities with the Lorentz-polarization factor, no thermal factor.

Atomic structure:
```
data_AcInGa
_chemical_formula_sum 'Ac2 In2 Ga2'
_cell_length_a 8.7406
_cell_length_b 8.7406
_cell_length_c 8.7406
_cell_angle_alpha 149.10
_cell_angle_beta 149.10
_cell_angle_gamma 44.26
_symmetry_space_group_name_H-M 'P 1'
_symmetry_Int_Tables_number 1
_symmetry_space_group_name_Hall 'P 1'
loop_
_atom_site_label
_atom_site_type_symbol
_atom_site_fract_x
_atom_site_fract_y
_atom_site_fract_z
Ac1 Ac 0.0000 0.0000 0.0000
Ac2 Ac 0.7500 0.2500 0.5000
In1 In 0.1625 0.6625 0.5000
In2 In 0.3375 0.8375 0.5000
Ga1 Ga 0.4220 0.4220 0.0000
Ga2 Ga 0.5780 0.5780 0.0000
```

The 10 most intense peaks (2θ from 15° to 90°), by angle:
Position (°2θ)  I/Imax
25.26  36
29.28  100
33.71  53
38.67  41
43.69  25
46.75  14
52.22  31
55.84  14
59.75  20
64.29  22



No. 6
Diffraction record for Ag3Pd3PtO8. The XRD peak list is computed, not measured: it uses a GGA-PBE-relaxed structure and Cu Kα X-rays.
Kinematic intensities with the Lorentz-polarization factor, no thermal factor.

Atomic structure:
```
data_Ag3Pd3PtO8
_chemical_formula_sum 'Ag3 Pd3 Pt1 O8'
_cell_length_a 6.3843
_cell_length_b 6.3843
_cell_length_c 6.5201
_cell_angle_alpha 112.27
_cell_angle_beta 112.27
_cell_angle_gamma 60.00
_symmetry_space_group_name_H-M 'P 1'
_symmetry_Int_Tables_number 1
_symmetry_space_group_name_Hall 'P 1'
loop_
_atom_site_label
_atom_site_type_symbol
_atom_site_fract_x
_atom_site_fract_y
_atom_site_fract_z
Ag1 Ag 0.0000 0.0000 0.0000
Ag2 Ag 0.0000 0.5000 0.0000
Ag3 Ag 0.5000 0.0000 0.0000
Pd1 Pd 0.0000 0.5000 0.5000
Pd2 Pd 0.5000 0.0000 0.5000
Pd3 Pd 0.5000 0.5000 0.5000
Pt1 Pt 0.0000 0.0000 0.5000
O1 O 0.1910 0.7246 0.6715
O2 O 0.1954 0.1954 0.7450
O3 O 0.2754 0.8090 0.3285
O4 O 0.2921 0.2921 0.3418
O5 O 0.7079 0.7079 0.6582
O6 O 0.7246 0.1910 0.6715
O7 O 0.8046 0.8046 0.2550
O8 O 0.8090 0.2754 0.3285
```

The 10 most intense peaks (2θ from 15° to 90°), by angle:
Position (°2θ)  I/Imax
15.11  34
16.50  40
30.49  66
33.36  97
35.70  41
36.13  59
39.80  100
51.28  39
58.24  42
63.22  20



No. 7
Diffraction record for Th3Cd4Ag4. The XRD peak list is computed, not measured: it uses a GGA-PBE-relaxed structure and Cu Kα X-rays.
Kinematic intensities with the Lorentz-polarization factor, no thermal factor.

Atomic structure:
```
data_Th3Cd4Ag4
_chemical_formula_sum 'Th3 Cd4 Ag4'
_cell_length_a 15.8242
_cell_length_b 15.8242
_cell_length_c 4.9461
_cell_angle_alpha 98.97
_cell_angle_beta 98.97
_cell_angle_gamma 12.29
_symmetry_space_group_name_H-M 'P 1'
_symmetry_Int_Tables_number 1
_symmetry_space_group_name_Hall 'P 1'
loop_
_atom_site_label
_atom_site_type_symbol
_atom_site_fract_x
_atom_site_fract_y
_atom_site_fract_z
Th1 Th 0.0000 0.0000 0.0000
Th2 Th 0.1400 0.1400 0.6394
Th3 Th 0.8600 0.8600 0.3606
Cd1 Cd 0.2636 0.2636 0.2636
Cd2 Cd 0.4070 0.4070 0.9076
Cd3 Cd 0.5930 0.5930 0.0924
Cd4 Cd 0.7364 0.7364 0.7363
Ag1 Ag 0.3150 0.3150 0.8153
Ag2 Ag 0.4537 0.4537 0.4540
Ag3 Ag 0.5463 0.5463 0.5460
Ag4 Ag 0.6850 0.6850 0.1847
```

The 10 most intense peaks (2θ from 15° to 90°), by angle:
Position (°2θ)  I/Imax
33.27  51
34.10  100
36.33  42
36.62  41
36.64  38
50.08  32
63.93  16
65.55  14
66.97  14
67.17  25